Diffraction record for LaDy2Tm7. The powder diffractogram is simulated, not measured: it uses a cell relaxed with PBE and Cu Kα.
Lines closer than 0.1° are merged.

Lattice parameters (Å, degrees): 6.1033 7.0494 7.8769 77.10 75.13 73.26
Positions (direct):
La: 0.0000 0.0000 0.0000
Dy: 0.2000 0.3014 0.5985
Dy: 0.8000 0.6986 0.4015
Tm: 0.0000 0.5000 0.0000
Tm: 0.2012 0.7991 0.5989
Tm: 0.3996 0.1005 0.2015
Tm: 0.4016 0.5981 0.2016
Tm: 0.5984 0.4019 0.7984
Tm: 0.6004 0.8995 0.7985
Tm: 0.7988 0.2009 0.4011

Most intense lines, 2θ = 15–90°, by angle:
2θ/deg  d [Å]  I/Imax  (hkl)
31.08  2.878  100  2 0 1
36.04  2.492  51  2 2 0
51.89  1.762  36  3 2 3
61.68  1.504  7  3 2 -2
61.73  1.503  36  4 2 1
64.80  1.439  12  4 0 2
76.41  1.247  4  4 4 0
76.51  1.245  2  2 0 6
84.76  1.144  12  5 0 0
84.84  1.143  6  5 2 4
87.50  1.115  11  3 6 1
87.60  1.114  6  5 4 3

***

Diffraction record for Pr4Ir. The powder diffractogram is simulated, not measured: it uses a cell relaxed with PBE and Cu Kα.
Lines closer than 0.1° are merged.

Lattice parameters (Å, degrees): 5.6814 5.6814 5.6814 90.00 90.00 90.00
Positions (direct):
Pr: 0.0000 0.0000 0.0000
Pr: 0.0000 0.5000 0.5000
Pr: 0.5000 0.0000 0.5000
Pr: 0.5000 0.5000 0.0000
Ir: 0.5000 0.5000 0.5000

Most intense lines, 2θ = 15–90°, by angle:
2θ/deg  d [Å]  I/Imax  (hkl)
15.60  5.681  33  1 0 0
22.13  4.017  30  1 1 0
27.19  3.280  49  1 1 1
31.49  2.841  100  2 0 0
35.33  2.541  18  2 1 0
38.83  2.319  14  2 1 1
45.14  2.009  74  2 2 0
53.49  1.713  22  3 1 1
56.08  1.640  26  2 2 2
65.74  1.420  12  4 0 0
74.72  1.270  33  4 2 0
83.33  1.160  25  4 2 2